Theoretical powder X-ray diffraction pattern
Compound: Rb2TaGeF6
Radiation: Cu Kα
Structure: a structure optimized by DFT (PBE)
Kinematic intensities with the Lorentz-polarization factor, no thermal factor.

Atomic structure:
Lattice parameters (Å, degrees): 6.2209 6.2209 11.4742 90.00 90.00 90.00
Space group I4/mmm (No. 139)
Unique sites:
1 Rb 0.0000 0.5000 0.2500 (multiplicity 4)
2 Ta 0.0000 0.0000 0.0000 (multiplicity 2)
3 Ge 0.0000 0.0000 0.5000 (multiplicity 2)
4 F 0.0000 0.0000 0.1715 (multiplicity 4)
5 F 0.2302 0.2302 0.0000 (multiplicity 8)

Most intense lines, 2θ = 5–70°, sorted by position:
- 2θ = 15.4°, 5.737 Å, intensity 10, (0 0 2)
- 2θ = 16.2°, 5.469 Å, intensity 31, (1 0 1)
- 2θ = 25.5°, 3.491 Å, intensity 100, (1 1 2)
- 2θ = 28.7°, 3.110 Å, intensity 34, (2 0 0)
- 2θ = 31.2°, 2.869 Å, intensity 22, (0 0 4)
- 2θ = 41.0°, 2.199 Å, intensity 25, (2 2 0)
- 2θ = 42.9°, 2.109 Å, intensity 17, (2 0 4)
- 2θ = 48.9°, 1.861 Å, intensity 33, (3 1 2)
- 2θ = 52.2°, 1.754 Å, intensity 18, (1 1 6)
- 2θ = 52.4°, 1.745 Å, intensity 19, (2 2 4)
- 2θ = 68.4°, 1.371 Å, intensity 15, (3 1 6)
- 2θ = 68.6°, 1.367 Å, intensity 8, (4 0 4)